# 1
Computed X-ray diffraction stick pattern of Tl2NiPbCl6 for Cu Kα X-rays, from the PBE geometry in Alexandria.
Kinematic intensities with the Lorentz-polarization factor, no thermal factor.

Structure:
```
data_Tl2NiPbCl6
_chemical_formula_sum 'Tl4 Ni2 Pb2 Cl12'
_symmetry_space_group_name_H-M 'C 1 m 1'
_symmetry_Int_Tables_number 8
_symmetry_space_group_name_Hall 'C -2y'
_cell_length_a 10.505
_cell_length_b 10.505
_cell_length_c 7.428
_cell_angle_alpha 90.00
_cell_angle_beta 134.88
_cell_angle_gamma 90.00
loop_
_atom_site_label
_atom_site_type_symbol
_atom_site_fract_x
_atom_site_fract_y
_atom_site_fract_z
Tl1 Tl 0.000 0.249 0.000
Ni1 Ni 0.047 0.000 0.592
Pb1 Pb 0.042 0.500 0.584
Cl1 Cl 0.055 0.229 0.608
Cl2 Cl 0.277 0.000 0.055
Cl3 Cl 0.284 0.000 0.608
Cl4 Cl 0.320 0.500 0.137
Cl5 Cl 0.325 0.500 0.607
```

Main lines, in order of rising 2θ (2θ from 10° to 90°):
| hkl | d_spacing | Position (°2θ) | I (rel.) |
| --- | --- | --- | --- |
| 2 2 -1 | 3.717 | 23.94 | 100 |
| 1 3 0 | 3.170 | 28.15 | 8 |
| 2 2 -2 | 3.035 | 29.43 | 13 |
| 0 4 0 | 2.628 | 34.12 | 41 |
| 2 0 1 | 2.352 | 38.26 | 11 |
| 4 2 -1 | 2.146 | 42.10 | 36 |
| 0 4 2 | 1.860 | 48.98 | 11 |
| 4 4 -2 | 1.857 | 49.05 | 14 |
| 6 2 -3 | 1.661 | 55.31 | 14 |
| 6 4 -4 | 1.404 | 66.61 | 14 |

# 2
Computed X-ray diffraction stick pattern of Pr5NiCl5 for Cu Kα X-rays, from the PBE geometry in Alexandria.
Kinematic intensities with the Lorentz-polarization factor, no thermal factor.

Structure:
```
data_Pr5NiCl5
_chemical_formula_sum 'Pr5 Ni1 Cl5'
_symmetry_space_group_name_H-M 'P -1'
_symmetry_Int_Tables_number 2
_symmetry_space_group_name_Hall '-P 1'
_cell_length_a 5.786
_cell_length_b 6.964
_cell_length_c 8.533
_cell_angle_alpha 72.24
_cell_angle_beta 89.95
_cell_angle_gamma 65.45
loop_
_atom_site_label
_atom_site_type_symbol
_atom_site_fract_x
_atom_site_fract_y
_atom_site_fract_z
Pr1 Pr 0.000 0.000 0.000
Pr2 Pr 0.326 0.347 0.145
Pr3 Pr 0.349 0.302 0.702
Ni1 Ni 0.500 0.000 0.000
Cl1 Cl 0.151 0.698 0.800
Cl2 Cl 0.165 0.668 0.358
Cl3 Cl 0.500 0.000 0.500
```

Main lines, in order of rising 2θ (2θ from 10° to 90°):
| hkl | d_spacing | Position (°2θ) | I (rel.) |
| --- | --- | --- | --- |
| 0 0 1 | 8.040 | 11.00 | 36 |
| 1 0 0 | 5.207 | 17.03 | 16 |
| 1 0 -2 | 3.434 | 25.95 | 36 |
| 1 2 0 | 3.279 | 27.20 | 33 |
| 0 2 2 | 2.910 | 30.73 | 100 |
| 2 1 0 | 2.893 | 30.91 | 54 |
| 0 1 4 | 2.134 | 42.36 | 20 |
| 2 3 2 | 2.052 | 44.14 | 72 |
| 2 0 -4 | 1.717 | 53.36 | 17 |
| 2 4 0 | 1.639 | 56.10 | 16 |

# 3
Computed X-ray diffraction stick pattern of Pr4NiSeCl2 for Cu Kα X-rays, from the PBE geometry in Alexandria.
Kinematic intensities with the Lorentz-polarization factor, no thermal factor.

Structure:
```
data_Pr4NiSeCl2
_chemical_formula_sum 'Pr4 Ni1 Se1 Cl2'
_symmetry_space_group_name_H-M 'P 1 2/m 1'
_symmetry_Int_Tables_number 10
_symmetry_space_group_name_Hall '-P 2y'
_cell_length_a 7.337
_cell_length_b 4.058
_cell_length_c 7.531
_cell_angle_alpha 90.00
_cell_angle_beta 108.39
_cell_angle_gamma 90.00
loop_
_atom_site_label
_atom_site_type_symbol
_atom_site_fract_x
_atom_site_fract_y
_atom_site_fract_z
Pr1 Pr 0.217 0.000 0.218
Pr2 Pr 0.235 0.500 0.758
Ni1 Ni 0.000 0.500 0.000
Se1 Se 0.000 0.000 0.500
Cl1 Cl 0.500 0.000 0.000
Cl2 Cl 0.500 0.500 0.500
```

Main lines, in order of rising 2θ (2θ from 10° to 90°):
| hkl | d_spacing | Position (°2θ) | I (rel.) |
| --- | --- | --- | --- |
| 1 0 0 | 6.962 | 12.71 | 15 |
| 0 0 2 | 3.573 | 24.92 | 14 |
| 1 1 -1 | 3.366 | 26.48 | 28 |
| 2 0 -2 | 3.014 | 29.64 | 54 |
| 1 1 1 | 2.967 | 30.12 | 100 |
| 2 0 2 | 2.174 | 41.54 | 17 |
| 1 1 -3 | 2.134 | 42.35 | 38 |
| 3 1 -1 | 2.095 | 43.19 | 35 |
| 0 2 0 | 2.029 | 44.67 | 19 |
| 2 2 -2 | 1.683 | 54.53 | 19 |

# 4
Computed X-ray diffraction stick pattern of TlNiPtCl6 for Cu Kα X-rays, from the PBE geometry in Alexandria.
Kinematic intensities with the Lorentz-polarization factor, no thermal factor.

Structure:
```
data_TlNiPtCl6
_chemical_formula_sum 'Tl2 Ni2 Pt2 Cl12'
_symmetry_space_group_name_H-M 'C 1 2 1'
_symmetry_Int_Tables_number 5
_symmetry_space_group_name_Hall 'C 2y'
_cell_length_a 6.469
_cell_length_b 10.748
_cell_length_c 7.216
_cell_angle_alpha 90.00
_cell_angle_beta 91.52
_cell_angle_gamma 90.00
loop_
_atom_site_label
_atom_site_type_symbol
_atom_site_fract_x
_atom_site_fract_y
_atom_site_fract_z
Tl1 Tl 0.000 0.000 0.000
Ni1 Ni 0.000 0.323 0.500
Pt1 Pt 0.000 0.660 0.500
Cl1 Cl 0.132 0.497 0.685
Cl2 Cl 0.166 0.183 0.703
Cl3 Cl 0.179 0.811 0.677
```

Main lines, in order of rising 2θ (2θ from 10° to 90°):
| hkl | d_spacing | Position (°2θ) | I (rel.) |
| --- | --- | --- | --- |
| 0 0 1 | 7.213 | 12.27 | 27 |
| 1 1 -1 | 4.443 | 19.98 | 100 |
| 1 1 1 | 4.347 | 20.43 | 93 |
| 0 2 1 | 4.310 | 20.61 | 87 |
| 2 0 0 | 3.233 | 27.59 | 24 |
| 1 3 0 | 3.134 | 28.48 | 38 |
| 2 0 -2 | 2.440 | 36.84 | 35 |
| 1 3 -2 | 2.379 | 37.81 | 38 |
| 1 3 2 | 2.351 | 38.29 | 63 |
| 3 3 0 | 1.847 | 49.34 | 29 |

# 5
Computed X-ray diffraction stick pattern of Rb3Ni2Cl8 for Cu Kα X-rays, from the PBE geometry in Alexandria.
Kinematic intensities with the Lorentz-polarization factor, no thermal factor.

Structure:
```
data_Rb3Ni2Cl8
_chemical_formula_sum 'Rb9 Ni6 Cl24'
_symmetry_space_group_name_H-M 'R -3 m'
_symmetry_Int_Tables_number 166
_symmetry_space_group_name_Hall '-R 3 2"'
_cell_length_a 7.1247
_cell_length_b 7.1247
_cell_length_c 27.5486
_cell_angle_alpha 90.00
_cell_angle_beta 90.00
_cell_angle_gamma 120.00
loop_
_atom_site_label
_atom_site_type_symbol
_atom_site_fract_x
_atom_site_fract_y
_atom_site_fract_z
Rb1 Rb 0.0000 0.0000 0.0000
Rb2 Rb 0.0000 0.0000 0.2096
Ni1 Ni 0.0000 0.0000 0.4091
Cl1 Cl 0.0000 0.0000 0.3296
Cl2 Cl 0.0043 0.5021 0.7689
```

Main lines, in order of rising 2θ (2θ from 10° to 90°):
| hkl | d_spacing | Position (°2θ) | I (rel.) |
| --- | --- | --- | --- |
| 0 1 5 | 4.110 | 21.62 | 76 |
| 1 1 0 | 3.562 | 25.00 | 100 |
| 2 0 2 | 3.010 | 29.68 | 33 |
| 0 2 4 | 2.815 | 31.78 | 27 |
| 2 0 5 | 2.692 | 33.28 | 64 |
| 1 0 10 | 2.516 | 35.69 | 31 |
| 1 2 5 | 2.148 | 42.07 | 29 |
| 3 0 0 | 2.056 | 44.04 | 29 |
| 2 2 0 | 1.781 | 51.31 | 57 |
| 1 1 15 | 1.633 | 56.34 | 33 |

# 6
Computed X-ray diffraction stick pattern of Rb3Ni2Cl9 for Cu Kα X-rays, from the PBE geometry in Alexandria.
Kinematic intensities with the Lorentz-polarization factor, no thermal factor.

Structure:
```
data_Rb3Ni2Cl9
_chemical_formula_sum 'Rb18 Ni12 Cl54'
_symmetry_space_group_name_H-M 'R -3 c'
_symmetry_Int_Tables_number 167
_symmetry_space_group_name_Hall '-R 3 2"c'
_cell_length_a 11.8439
_cell_length_b 11.8439
_cell_length_c 19.4633
_cell_angle_alpha 90.00
_cell_angle_beta 90.00
_cell_angle_gamma 120.00
loop_
_atom_site_label
_atom_site_type_symbol
_atom_site_fract_x
_atom_site_fract_y
_atom_site_fract_z
Rb1 Rb 0.0000 0.3413 0.2500
Ni1 Ni 0.0000 0.0000 0.1723
Cl1 Cl 0.0000 0.1533 0.7500
Cl2 Cl 0.0000 0.1611 0.1084
```

Main lines, in order of rising 2θ (2θ from 10° to 90°):
| hkl | d_spacing | Position (°2θ) | I (rel.) |
| --- | --- | --- | --- |
| 0 1 2 | 7.060 | 12.54 | 31 |
| 1 1 3 | 4.374 | 20.30 | 31 |
| 3 0 0 | 3.419 | 26.06 | 33 |
| 0 0 6 | 3.244 | 27.50 | 17 |
| 1 1 6 | 2.845 | 31.44 | 21 |
| 2 2 3 | 2.694 | 33.26 | 100 |
| 2 2 6 | 2.187 | 41.28 | 32 |
| 4 1 6 | 1.842 | 49.47 | 17 |
| 6 0 0 | 1.710 | 53.61 | 24 |
| 3 0 12 | 1.465 | 63.48 | 14 |

# 7
Computed X-ray diffraction stick pattern of Rb2NiRhCl6 for Cu Kα X-rays, from the PBE geometry in Alexandria.
Kinematic intensities with the Lorentz-polarization factor, no thermal factor.

Structure:
```
data_Rb2NiRhCl6
_chemical_formula_sum 'Rb4 Ni2 Rh2 Cl12'
_symmetry_space_group_name_H-M 'I 4/m m m'
_symmetry_Int_Tables_number 139
_symmetry_space_group_name_Hall '-I 4 2'
_cell_length_a 7.148
_cell_length_b 7.148
_cell_length_c 9.094
_cell_angle_alpha 90.00
_cell_angle_beta 90.00
_cell_angle_gamma 90.00
loop_
_atom_site_label
_atom_site_type_symbol
_atom_site_fract_x
_atom_site_fract_y
_atom_site_fract_z
Rb1 Rb 0.000 0.500 0.250
Ni1 Ni 0.000 0.000 0.000
Rh1 Rh 0.000 0.000 0.500
Cl1 Cl 0.000 0.000 0.242
Cl2 Cl 0.243 0.243 0.500
```

Main lines, in order of rising 2θ (2θ from 10° to 90°):
| hkl | d_spacing | Position (°2θ) | I (rel.) |
| --- | --- | --- | --- |
| 2 0 0 | 3.574 | 24.91 | 57 |
| 1 1 2 | 3.380 | 26.36 | 100 |
| 2 0 2 | 2.810 | 31.85 | 39 |
| 2 2 0 | 2.527 | 35.52 | 95 |
| 0 0 4 | 2.273 | 39.64 | 34 |
| 3 1 2 | 2.024 | 44.77 | 48 |
| 2 0 4 | 1.918 | 47.39 | 20 |
| 4 0 0 | 1.787 | 51.11 | 31 |
| 2 2 4 | 1.690 | 54.27 | 51 |
| 4 0 4 | 1.405 | 66.56 | 27 |